Entry 1:
Diffraction record for PmZn3Br9. The X-ray powder pattern is calculated, not measured: it uses a crystal structure in Alexandria, relaxed with GGA-PBE and Cu Kα.
Intensities are scaled so that the largest is 100.

```
data_PmZn3Br9
_chemical_formula_sum 'Pm4 Zn12 Br36'
_space_group_name_H-M_alt 'C 1 c 1'
_space_group_IT_number 9
_space_group_name_Hall 'C -2yc'
_cell_length_a 18.919
_cell_length_b 9.436
_cell_length_c 13.589
_cell_angle_alpha 90.00
_cell_angle_beta 129.33
_cell_angle_gamma 90.00
loop_
_atom_site_label
_atom_site_type_symbol
_atom_site_fract_x
_atom_site_fract_y
_atom_site_fract_z
Pm1 Pm 0.000 0.228 0.000
Zn1 Zn 0.144 0.118 0.830
Zn2 Zn 0.229 0.421 0.707
Zn3 Zn 0.356 0.076 0.665
Br1 Br 0.015 0.079 0.826
Br2 Br 0.114 0.346 0.725
Br3 Br 0.152 0.071 0.214
Br4 Br 0.157 0.379 0.057
Br5 Br 0.235 0.252 0.576
Br6 Br 0.302 0.136 0.031
Br7 Br 0.366 0.498 0.415
Br8 Br 0.406 0.010 0.371
Br9 Br 0.484 0.187 0.691
```

Main lines, in order of falling intensity (2θ = 10–80°):
| d (Å) | 2θ/deg | Rel. int. | h k l |
| --- | --- | --- | --- |
| 5.489 | 16.1 | 100 | 1 1 1 |
| 3.233 | 27.6 | 64 | 2 2 -3 |
| 3.497 | 25.5 | 45 | 5 1 -2 |
| 4.999 | 17.7 | 41 | 3 1 -2 |
| 3.511 | 25.4 | 31 | 0 2 2 |
| 2.371 | 38.0 | 30 | 7 1 -5 |
| 2.891 | 30.9 | 28 | 4 2 0 |
| 4.064 | 21.9 | 25 | 3 1 -3 |
| 2.049 | 44.2 | 22 | 7 3 -3 |
| 3.386 | 26.3 | 22 | 3 1 1 |
| 3.374 | 26.4 | 21 | 2 0 2 |
| 2.286 | 39.4 | 19 | 7 1 -1 |


Entry 2:
Diffraction record for LaNi4B4. The X-ray powder pattern is calculated, not measured: it uses a crystal structure in Alexandria, relaxed with GGA-PBE and Cu Kα.
Intensities are scaled so that the largest is 100.

```
data_LaNi4B4
_chemical_formula_sum 'La2 Ni8 B8'
_space_group_name_H-M_alt 'P 42/n m c'
_space_group_IT_number 137
_cell_length_a 5.130
_cell_length_b 5.130
_cell_length_c 7.233
_cell_angle_alpha 90.00
_cell_angle_beta 90.00
_cell_angle_gamma 90.00
loop_
_space_group_symop_operation_xyz
'x,y,z'
'-x,-y,-z'
'-y+1/2,x,z+1/2'
'y+1/2,-x,-z+1/2'
'-x+1/2,-y+1/2,z'
'x+1/2,y+1/2,-z'
'y,-x+1/2,z+1/2'
'-y,x+1/2,-z+1/2'
'x+1/2,-y,-z'
'-x+1/2,y,z'
'-y,-x,-z+1/2'
'y,x,z+1/2'
'-x,y+1/2,-z'
'x,-y+1/2,z'
'y+1/2,x+1/2,-z+1/2'
'-y+1/2,-x+1/2,z+1/2'
loop_
_atom_site_label
_atom_site_type_symbol
_atom_site_fract_x
_atom_site_fract_y
_atom_site_fract_z
La1 La 0.250 0.750 0.250
Ni1 Ni 0.002 0.750 0.616
B1 B 0.082 0.250 0.088
```

Main lines, in order of falling intensity (2θ = 10–80°):
| d (Å) | 2θ/deg | Rel. int. | h k l |
| --- | --- | --- | --- |
| 2.185 | 41.3 | 100 | 1 0 3 |
| 2.562 | 35.0 | 29 | 2 0 0 |
| 2.417 | 37.2 | 24 | 2 0 1 |
| 1.396 | 67.1 | 23 | 3 0 3 |
| 3.625 | 24.6 | 22 | 1 1 0 |
| 2.956 | 30.2 | 16 | 1 0 2 |
| 1.281 | 74.0 | 15 | 2 2 4 |
| 1.937 | 46.9 | 14 | 2 1 2 |
| 1.622 | 56.8 | 11 | 2 2 2 |
| 2.092 | 43.2 | 9 | 2 0 2 |
| 1.282 | 73.9 | 8 | 4 0 0 |
| 1.757 | 52.1 | 6 | 2 0 3 |


Entry 3:
Diffraction record for La2CeCd2Sn2. The X-ray powder pattern is calculated, not measured: it uses a crystal structure in Alexandria, relaxed with GGA-PBE and Cu Kα.
Intensities are scaled so that the largest is 100.

```
data_La2CeCd2Sn2
_chemical_formula_sum 'La6 Ce3 Cd6 Sn6'
_space_group_name_H-M_alt 'R -3 m'
_space_group_IT_number 166
_space_group_name_Hall '-R 3 2"'
_cell_length_a 5.0872
_cell_length_b 5.0872
_cell_length_c 27.4642
_cell_angle_alpha 90.00
_cell_angle_beta 90.00
_cell_angle_gamma 120.00
loop_
_atom_site_label
_atom_site_type_symbol
_atom_site_fract_x
_atom_site_fract_y
_atom_site_fract_z
La1 La 0.0000 0.0000 0.1269
Ce1 Ce 0.0000 0.0000 0.0000
Cd1 Cd 0.0000 0.0000 0.3926
Sn1 Sn 0.0000 0.0000 0.2638
```

Main lines, in order of falling intensity (2θ = 10–80°):
| d (Å) | 2θ/deg | Rel. int. | h k l |
| --- | --- | --- | --- |
| 2.544 | 35.3 | 100 | 1 1 0 |
| 2.708 | 33.1 | 84 | 0 1 8 |
| 2.930 | 30.5 | 44 | 1 0 7 |
| 1.486 | 62.5 | 29 | 1 1 15 |
| 1.854 | 49.1 | 28 | 2 0 8 |
| 1.498 | 61.9 | 27 | 1 2 8 |
| 1.469 | 63.3 | 18 | 3 0 0 |
| 1.921 | 47.3 | 13 | 0 2 7 |
| 1.533 | 60.4 | 13 | 2 1 7 |
| 1.272 | 74.6 | 11 | 2 2 0 |
| 1.831 | 49.8 | 10 | 0 0 15 |
| 4.350 | 20.4 | 9 | 1 0 1 |


Entry 4:
Diffraction record for U2CrB10. The X-ray powder pattern is calculated, not measured: it uses a crystal structure in Alexandria, relaxed with GGA-PBE and Cu Kα.
Intensities are scaled so that the largest is 100.

```
data_U2CrB10
_chemical_formula_sum 'U4 Cr2 B20'
_space_group_name_H-M_alt 'P b a m'
_space_group_IT_number 55
_space_group_name_Hall '-P 2 2ab'
_cell_length_a 5.574
_cell_length_b 11.121
_cell_length_c 4.093
_cell_angle_alpha 90.00
_cell_angle_beta 90.00
_cell_angle_gamma 90.00
loop_
_atom_site_label
_atom_site_type_symbol
_atom_site_fract_x
_atom_site_fract_y
_atom_site_fract_z
U1 U 0.221 0.129 0.000
Cr1 Cr 0.000 0.500 0.500
B1 B 0.050 0.310 0.500
B2 B 0.123 0.961 0.500
B3 B 0.136 0.803 0.500
B4 B 0.217 0.384 0.198
```

Main lines, in order of falling intensity (2θ = 10–80°):
| d (Å) | 2θ/deg | Rel. int. | h k l |
| --- | --- | --- | --- |
| 2.837 | 31.5 | 100 | 1 2 1 |
| 3.936 | 22.6 | 83 | 1 2 0 |
| 2.302 | 39.1 | 73 | 0 4 1 |
| 2.783 | 32.2 | 38 | 0 4 0 |
| 4.093 | 21.7 | 37 | 0 0 1 |
| 1.617 | 56.9 | 29 | 1 6 1 |
| 1.816 | 50.2 | 28 | 1 2 2 |
| 1.968 | 46.1 | 22 | 2 4 0 |
| 1.334 | 70.6 | 21 | 1 6 2 |
| 1.774 | 51.5 | 18 | 2 4 1 |
| 2.046 | 44.3 | 14 | 0 0 2 |
| 1.649 | 55.8 | 13 | 0 4 2 |